Starting from a PBE-relaxed structure, the X-ray powder pattern of AlTlN2F was simulated for CuKα.
No peak broadening, texture or thermal motion is included.

The 12 most intense peaks (2θ = 10–90°), in order of rising 2θ:
d/Å	Position (°2θ)	intensity	index
3.953	22.49	68	1 0 0
3.732	23.84	35	0 0 1
2.795	32.02	61	1 1 0
2.714	33.01	100	1 0 1
2.237	40.31	65	1 1 1
1.977	45.91	34	2 0 0
1.768	51.70	16	2 1 0
1.747	52.38	18	2 0 1
1.598	57.70	43	2 1 1
1.552	59.57	22	1 1 2
1.357	69.24	19	2 0 2
1.185	81.13	16	3 1 1

Structural model:
```
data_AlTlN2F
_cell_length_a 3.9534
_cell_length_b 3.9534
_cell_length_c 3.7320
_cell_angle_alpha 90.00
_cell_angle_beta 90.00
_cell_angle_gamma 90.00
_space_group_name_H-M_alt 'P 4/m m m'
_space_group_IT_number 123
_space_group_name_Hall '-P 4 2'
loop_
_atom_site_label
_atom_site_type_symbol
_atom_site_fract_x
_atom_site_fract_y
_atom_site_fract_z
_atom_site_occupancy
Al1 Al 0.0000 0.0000 0.0000 1
Tl1 Tl 0.5000 0.5000 0.5000 1
N1 N 0.0000 0.5000 0.0000 1
F1 F 0.0000 0.0000 0.5000 1
```